(1)
For Er2I, DFT lattice parameters and positions (GGA-PBE) gives the theoretical powder diffraction line list in this record (Cu Kα X-rays).

Principal peaks in the range 2θ from 10° to 90°, in order of rising 2θ:
18.3 deg, I = 35, (1 1 0); 25.9 deg, I = 15, (2 0 0); 27.9 deg, I = 100, (1 1 1); 29.1 deg, I = 28, (2 1 0); 36.1 deg, I = 45, (2 1 1); 37.0 deg, I = 33, (2 2 0); 42.5 deg, I = 18, (0 0 2); 44.9 deg, I = 41, (3 0 1); 47.0 deg, I = 23, (3 1 1); 55.1 deg, I = 13, (4 1 0); 57.6 deg, I = 18, (2 2 2); 78.2 deg, I = 19, (5 2 1)

Structural model:
a = 6.8730 Å, b = 6.8730 Å, c = 4.2499 Å
α = 90.00°, β = 90.00°, γ = 90.00°
Space group P4_2/mnm (No. 136)
Inequivalent atoms, fractional coordinates:
Er: 0.2053 0.2053 0.0000 [4 per cell]
I: 0.0000 0.0000 0.5000 [2 per cell]

=====

(2)
For DyTm2Tl3, DFT lattice parameters and positions (GGA-PBE) gives the theoretical powder diffraction line list in this record (Cu Kα X-rays).

Principal peaks in the range 2θ from 10° to 90°, in order of rising 2θ:
24.7 deg, I = 1, (1 0 0); 33.2 deg, I = 100, (1 0 3); 35.1 deg, I = 43, (1 1 0); 44.7 deg, I = 11, (0 0 6); 50.5 deg, I = 16, (2 0 0); 58.1 deg, I = 21, (1 1 6); 61.8 deg, I = 34, (2 1 3); 69.7 deg, I = 12, (2 0 6); 74.3 deg, I = 5, (2 2 0); 75.0 deg, I = 10, (1 0 9); 83.8 deg, I = 7, (3 0 3); 84.9 deg, I = 7, (3 1 0)

Structural model:
a = 3.6114 Å, b = 3.6114 Å, c = 12.1735 Å
α = 90.00°, β = 90.00°, γ = 90.00°
Space group P4/mmm (No. 123)
Inequivalent atoms, fractional coordinates:
Dy: 0.0000 0.0000 0.0000 [1 per cell]
Tm: 0.0000 0.0000 0.3345 [2 per cell]
Tl: 0.5000 0.5000 0.1693 [2 per cell]
Tl: 0.5000 0.5000 0.5000 [1 per cell]

=====

(3)
For Er2In8Pt, DFT lattice parameters and positions (GGA-PBE) gives the theoretical powder diffraction line list in this record (Cu Kα X-rays).

Principal peaks in the range 2θ from 10° to 90°, in order of rising 2θ:
19.0 deg, I = 11, (1 0 0); 29.3 deg, I = 8, (1 0 3); 30.9 deg, I = 16, (1 1 2); 35.2 deg, I = 100, (1 1 3); 37.3 deg, I = 10, (0 0 5); 38.6 deg, I = 50, (2 0 0); 40.6 deg, I = 8, (1 1 4); 54.8 deg, I = 12, (2 0 5); 55.7 deg, I = 17, (2 2 0); 60.9 deg, I = 9, (2 0 6); 67.6 deg, I = 32, (3 1 3); 68.5 deg, I = 9, (1 1 8)

Structural model:
a = 4.6675 Å, b = 4.6675 Å, c = 12.0461 Å
α = 90.00°, β = 90.00°, γ = 90.00°
Space group P4/mmm (No. 123)
Inequivalent atoms, fractional coordinates:
Er: 0.0000 0.0000 0.1878 [2 per cell]
In: 0.0000 0.5000 0.0000 [2 per cell]
In: 0.0000 0.5000 0.3721 [4 per cell]
In: 0.5000 0.5000 0.1905 [2 per cell]
Pt: 0.0000 0.0000 0.5000 [1 per cell]

=====

(4)
For HoErZn2Pt4, DFT lattice parameters and positions (GGA-PBE) gives the theoretical powder diffraction line list in this record (Cu Kα X-rays).

Principal peaks in the range 2θ from 10° to 90°, in order of rising 2θ:
23.4 deg, I = 5, (1 0 1); 27.0 deg, I = 7, (1 1 0); 38.6 deg, I = 100, (2 0 0); 45.6 deg, I = 3, (2 1 1); 47.8 deg, I = 2, (2 0 2); 55.7 deg, I = 6, (0 0 4); 55.8 deg, I = 12, (2 2 0); 63.1 deg, I = 2, (3 1 0); 69.8 deg, I = 12, (2 0 4); 69.9 deg, I = 23, (3 1 2); 82.7 deg, I = 7, (2 2 4); 82.9 deg, I = 4, (4 0 0)

Structural model:
a = 4.6594 Å, b = 4.6594 Å, c = 6.6062 Å
α = 90.00°, β = 90.00°, γ = 90.00°
Space group P4/mmm (No. 123)
Inequivalent atoms, fractional coordinates:
Ho: 0.0000 0.0000 0.0000 [1 per cell]
Er: 0.5000 0.5000 0.5000 [1 per cell]
Zn: 0.0000 0.0000 0.5000 [1 per cell]
Zn: 0.5000 0.5000 0.0000 [1 per cell]
Pt: 0.0000 0.5000 0.2507 [4 per cell]

=====

(5)
For NaSmCdSe3, DFT lattice parameters and positions (GGA-PBE) gives the theoretical powder diffraction line list in this record (Cu Kα X-rays).

Principal peaks in the range 2θ from 10° to 90°, in order of rising 2θ:
10.0 deg, I = 61, (1 0 1); 14.4 deg, I = 88, (0 0 2); 23.3 deg, I = 64, (1 1 1); 26.5 deg, I = 42, (1 1 2); 29.3 deg, I = 64, (4 0 1); 31.1 deg, I = 100, (1 1 3); 33.4 deg, I = 42, (3 1 2); 33.5 deg, I = 46, (2 1 3); 36.7 deg, I = 67, (1 1 4); 42.4 deg, I = 65, (0 1 5); 42.7 deg, I = 57, (0 2 0); 47.4 deg, I = 58, (5 1 3)

Structural model:
a = 12.5975 Å, b = 4.2383 Å, c = 12.3329 Å
α = 90.00°, β = 90.00°, γ = 90.00°
Space group Pnma (No. 62)
Inequivalent atoms, fractional coordinates:
Na: 0.1284 0.2500 0.0060 [4 per cell]
Sm: 0.0447 0.2500 0.6705 [4 per cell]
Cd: 0.2358 0.2500 0.2851 [4 per cell]
Se: 0.0600 0.7500 0.8430 [4 per cell]
Se: 0.0831 0.2500 0.4269 [4 per cell]
Se: 0.2247 0.7500 0.1511 [4 per cell]

=====

(6)
For DyTm2Sc3Bi2Os, DFT lattice parameters and positions (GGA-PBE) gives the theoretical powder diffraction line list in this record (Cu Kα X-rays).

Principal peaks in the range 2θ from 10° to 90°, in order of rising 2θ:
22.6 deg, I = 59, (0 0 2); 24.8 deg, I = 27, (1 1 1); 31.1 deg, I = 100, (1 0 2); 33.8 deg, I = 85, (1 2 2); 34.8 deg, I = 18, (0 5 1); 39.6 deg, I = 61, (0 6 0); 41.0 deg, I = 49, (1 5 1); 43.0 deg, I = 27, (2 0 0); 59.8 deg, I = 37, (2 6 0); 63.3 deg, I = 32, (1 8 2); 72.8 deg, I = 23, (1 5 5); 77.4 deg, I = 16, (1 8 4)

Structural model:
a = 4.2113 Å, b = 13.6547 Å, c = 7.8860 Å
α = 90.00°, β = 90.00°, γ = 90.00°
Space group Amm2 (No. 38)
Inequivalent atoms, fractional coordinates:
Dy: 0.0000 0.0000 0.0000 [2 per cell]
Tm: 0.0000 0.1923 0.5795 [4 per cell]
Sc: 0.5000 0.0000 0.6149 [2 per cell]
Sc: 0.5000 0.1118 0.2760 [4 per cell]
Bi: 0.5000 0.1679 0.8870 [4 per cell]
Os: 0.0000 0.0000 0.3922 [2 per cell]

=====

(7)
For Gd4ReBr4, DFT lattice parameters and positions (GGA-PBE) gives the theoretical powder diffraction line list in this record (Cu Kα X-rays).

Principal peaks in the range 2θ from 10° to 90°, in order of rising 2θ:
27.1 deg, I = 20, (0 0 2); 31.2 deg, I = 15, (4 2 0); 33.7 deg, I = 22, (2 2 2); 34.2 deg, I = 100, (4 2 1); 35.2 deg, I = 32, (3 1 2); 38.4 deg, I = 21, (5 1 1); 39.3 deg, I = 16, (4 0 2); 41.1 deg, I = 12, (5 3 0); 44.8 deg, I = 22, (6 2 0); 47.1 deg, I = 10, (3 1 3); 52.6 deg, I = 16, (4 2 3); 68.4 deg, I = 12, (6 6 2)

Structural model:
a = 12.8026 Å, b = 12.8026 Å, c = 6.5793 Å
α = 90.00°, β = 90.00°, γ = 90.00°
Space group P4/ncc (No. 130, origin choice 2)
Inequivalent atoms, fractional coordinates:
Gd: 0.0762 0.6746 0.0088 [16 per cell]
Re: 0.2500 0.7500 0.2500 [4 per cell]
Br: 0.0515 0.1373 0.0853 [16 per cell]

=====

(8)
For PrNdGe4Pt2, DFT lattice parameters and positions (GGA-PBE) gives the theoretical powder diffraction line list in this record (Cu Kα X-rays).

Principal peaks in the range 2θ from 10° to 90°, in order of rising 2θ:
10.2 deg, I = 57, (0 0 2); 28.8 deg, I = 44, (1 0 4); 29.1 deg, I = 100, (1 1 1); 32.7 deg, I = 83, (1 1 3); 33.1 deg, I = 91, (0 1 5); 37.1 deg, I = 43, (1 0 6); 38.9 deg, I = 32, (1 1 5); 40.5 deg, I = 60, (2 0 0); 41.4 deg, I = 56, (0 2 0); 46.7 deg, I = 28, (1 0 8); 53.2 deg, I = 47, (2 1 5); 59.3 deg, I = 39, (2 2 0)

Structural model:
a = 4.4535 Å, b = 4.3578 Å, c = 17.2993 Å
α = 90.00°, β = 90.00°, γ = 90.00°
Space group Amm2 (No. 38)
Inequivalent atoms, fractional coordinates:
Pr: 0.0000 0.0000 0.0000 [2 per cell]
Nd: 0.5000 0.0000 0.7853 [2 per cell]
Ge: 0.0000 0.0000 0.3575 [2 per cell]
Ge: 0.0000 0.0000 0.6420 [2 per cell]
Ge: 0.5000 0.0000 0.1440 [2 per cell]
Ge: 0.5000 0.0000 0.4276 [2 per cell]
Pt: 0.0000 0.0000 0.2157 [2 per cell]
Pt: 0.5000 0.0000 0.5700 [2 per cell]

=====

(9)
For NdHoGa2, DFT lattice parameters and positions (GGA-PBE) gives the theoretical powder diffraction line list in this record (Cu Kα X-rays).

Principal peaks in the range 2θ from 10° to 90°, in order of rising 2θ:
27.0 deg, I = 26, (1 0 2); 30.8 deg, I = 100, (1 1 1); 31.6 deg, I = 44, (0 1 3); 32.3 deg, I = 26, (0 0 4); 38.6 deg, I = 52, (1 1 3); 39.3 deg, I = 18, (1 0 4); 40.9 deg, I = 26, (0 2 0); 44.1 deg, I = 21, (2 0 0); 55.3 deg, I = 18, (2 1 3); 61.7 deg, I = 15, (2 2 0); 62.4 deg, I = 14, (0 1 7); 72.9 deg, I = 16, (3 1 1)

Structural model:
a = 4.1058 Å, b = 4.4160 Å, c = 11.0714 Å
α = 90.00°, β = 90.00°, γ = 90.00°
Space group Amm2 (No. 38)
Inequivalent atoms, fractional coordinates:
Nd: 0.0000 0.0000 0.0000 [2 per cell]
Ho: 0.5000 0.0000 0.7210 [2 per cell]
Ga: 0.0000 0.0000 0.2820 [2 per cell]
Ga: 0.5000 0.0000 0.4306 [2 per cell]

=====

(10)
For Dy3Lu4Cu2Te2, DFT lattice parameters and positions (GGA-PBE) gives the theoretical powder diffraction line list in this record (Cu Kα X-rays).

Principal peaks in the range 2θ from 10° to 90°, in order of rising 2θ:
28.7 deg, I = 41, (1 3 0); 30.0 deg, I = 65, (1 1 2); 30.7 deg, I = 25, (0 5 1); 33.3 deg, I = 73, (0 3 3); 34.1 deg, I = 100, (1 4 1); 34.4 deg, I = 54, (1 3 2); 35.2 deg, I = 20, (0 6 0); 36.4 deg, I = 23, (1 0 3); 38.3 deg, I = 21, (1 2 3); 46.2 deg, I = 31, (2 0 0); 51.6 deg, I = 33, (1 7 2); 58.1 deg, I = 35, (2 3 3)

Structural model:
a = 3.9325 Å, b = 15.2767 Å, c = 9.5239 Å
α = 90.00°, β = 90.00°, γ = 90.00°
Space group Imm2 (No. 44)
Inequivalent atoms, fractional coordinates:
Dy: 0.0000 0.0000 0.0000 [2 per cell]
Dy: 0.0000 0.1306 0.4169 [4 per cell]
Lu: 0.0000 0.3143 0.6208 [4 per cell]
Lu: 0.0000 0.3554 0.2649 [4 per cell]
Cu: 0.0000 0.2327 0.9270 [4 per cell]
Te: 0.0000 0.0000 0.6656 [2 per cell]
Te: 0.0000 0.5000 0.7623 [2 per cell]

=====

(11)
For ErHf2Zn3CuAu2, DFT lattice parameters and positions (GGA-PBE) gives the theoretical powder diffraction line list in this record (Cu Kα X-rays).

Principal peaks in the range 2θ from 10° to 90°, in order of rising 2θ:
14.2 deg, I = 16, (0 2 0); 14.3 deg, I = 17, (0 1 1); 24.9 deg, I = 21, (0 3 1); 34.9 deg, I = 100, (1 3 1); 35.1 deg, I = 55, (1 0 2); 37.9 deg, I = 27, (1 4 0); 38.0 deg, I = 69, (1 2 2); 38.3 deg, I = 19, (0 5 1); 43.7 deg, I = 18, (0 6 0); 44.0 deg, I = 35, (0 3 3); 49.4 deg, I = 28, (2 0 0); 68.3 deg, I = 19, (2 3 3)

Structural model:
a = 3.6869 Å, b = 12.4355 Å, c = 7.1100 Å
α = 90.00°, β = 90.00°, γ = 90.00°
Space group Amm2 (No. 38)
Inequivalent atoms, fractional coordinates:
Er: 0.0000 0.0000 0.0000 [2 per cell]
Hf: 0.0000 0.1998 0.3996 [4 per cell]
Zn: 0.5000 0.0000 0.3540 [2 per cell]
Zn: 0.5000 0.1223 0.7180 [4 per cell]
Cu: 0.0000 0.0000 0.5884 [2 per cell]
Au: 0.5000 0.1715 0.1018 [4 per cell]

=====

(12)
For Pm2Lu2O5, DFT lattice parameters and positions (GGA-PBE) gives the theoretical powder diffraction line list in this record (Cu Kα X-rays).

Principal peaks in the range 2θ from 10° to 90°, in order of rising 2θ:
29.5 deg, I = 100, (1 0 2); 32.4 deg, I = 35, (1 1 0); 37.4 deg, I = 13, (0 0 4); 46.5 deg, I = 19, (2 0 0); 50.3 deg, I = 30, (1 1 4); 56.0 deg, I = 34, (2 1 2); 61.1 deg, I = 12, (2 0 4); 62.7 deg, I = 11, (1 0 6); 75.6 deg, I = 7, (3 0 2); 77.2 deg, I = 6, (3 1 0); 81.5 deg, I = 11, (2 1 6); 89.1 deg, I = 11, (3 1 4)

Structural model:
a = 3.9096 Å, b = 3.9096 Å, c = 9.6090 Å
α = 90.00°, β = 90.00°, γ = 90.00°
Space group P4/mmm (No. 123)
Inequivalent atoms, fractional coordinates:
Pm: 0.0000 0.0000 0.2406 [2 per cell]
Lu: 0.5000 0.5000 0.0000 [1 per cell]
Lu: 0.5000 0.5000 0.5000 [1 per cell]
O: 0.0000 0.0000 0.5000 [1 per cell]
O: 0.0000 0.5000 0.1344 [4 per cell]

=====

Q: What is the formula in the seventh record?
A: Gd4ReBr4

=====

Please write out number 3 again, unchanged.
For Er2In8Pt, DFT lattice parameters and positions (GGA-PBE) gives the theoretical powder diffraction line list in this record (Cu Kα X-rays).

Principal peaks in the range 2θ from 10° to 90°, in order of rising 2θ:
19.0 deg, I = 11, (1 0 0); 29.3 deg, I = 8, (1 0 3); 30.9 deg, I = 16, (1 1 2); 35.2 deg, I = 100, (1 1 3); 37.3 deg, I = 10, (0 0 5); 38.6 deg, I = 50, (2 0 0); 40.6 deg, I = 8, (1 1 4); 54.8 deg, I = 12, (2 0 5); 55.7 deg, I = 17, (2 2 0); 60.9 deg, I = 9, (2 0 6); 67.6 deg, I = 32, (3 1 3); 68.5 deg, I = 9, (1 1 8)

Structural model:
a = 4.6675 Å, b = 4.6675 Å, c = 12.0461 Å
α = 90.00°, β = 90.00°, γ = 90.00°
Space group P4/mmm (No. 123)
Inequivalent atoms, fractional coordinates:
Er: 0.0000 0.0000 0.1878 [2 per cell]
In: 0.0000 0.5000 0.0000 [2 per cell]
In: 0.0000 0.5000 0.3721 [4 per cell]
In: 0.5000 0.5000 0.1905 [2 per cell]
Pt: 0.0000 0.0000 0.5000 [1 per cell]

=====

What did the third record say?
For Er2In8Pt, DFT lattice parameters and positions (GGA-PBE) gives the theoretical powder diffraction line list in this record (Cu Kα X-rays).

Principal peaks in the range 2θ from 10° to 90°, in order of rising 2θ:
19.0 deg, I = 11, (1 0 0); 29.3 deg, I = 8, (1 0 3); 30.9 deg, I = 16, (1 1 2); 35.2 deg, I = 100, (1 1 3); 37.3 deg, I = 10, (0 0 5); 38.6 deg, I = 50, (2 0 0); 40.6 deg, I = 8, (1 1 4); 54.8 deg, I = 12, (2 0 5); 55.7 deg, I = 17, (2 2 0); 60.9 deg, I = 9, (2 0 6); 67.6 deg, I = 32, (3 1 3); 68.5 deg, I = 9, (1 1 8)

Structural model:
a = 4.6675 Å, b = 4.6675 Å, c = 12.0461 Å
α = 90.00°, β = 90.00°, γ = 90.00°
Space group P4/mmm (No. 123)
Inequivalent atoms, fractional coordinates:
Er: 0.0000 0.0000 0.1878 [2 per cell]
In: 0.0000 0.5000 0.0000 [2 per cell]
In: 0.0000 0.5000 0.3721 [4 per cell]
In: 0.5000 0.5000 0.1905 [2 per cell]
Pt: 0.0000 0.0000 0.5000 [1 per cell]